# BaVZnF7
Computed X-ray powder pattern, Cu Kα. Input: a DFT-relaxed cell (GGA+U, the Materials Project).

Structure:
```
data_BaVZnF7
_chemical_formula_sum 'Ba4 V4 Zn4 F28'
_space_group_name_H-M_alt 'P 1 21/c 1'
_space_group_IT_number 14
_cell_length_a 5.6714
_cell_length_b 10.1056
_cell_length_c 9.7003
_cell_angle_alpha 90.00
_cell_angle_beta 92.83
_cell_angle_gamma 90.00
loop_
_space_group_symop_operation_xyz
'x,y,z'
'-x,-y,-z'
'-x,y+1/2,-z+1/2'
'x,-y+1/2,z+1/2'
loop_
_atom_site_label
_atom_site_type_symbol
_atom_site_fract_x
_atom_site_fract_y
_atom_site_fract_z
Ba1 Ba 0.2385 0.1817 0.0015
V1 V 0.3051 0.6118 0.1893
Zn1 Zn 0.1965 0.6005 0.8107
F1 F 0.0209 0.7080 0.2464
F2 F 0.1115 0.5418 0.6241
F3 F 0.1358 0.0535 0.6284
F4 F 0.2412 0.6922 0.0023
F5 F 0.3876 0.0577 0.3794
F6 F 0.3897 0.5409 0.3677
F7 F 0.4787 0.7209 0.7493
```

The 8 most intense peaks (10° ≤ 2θ ≤ 90°), in order of rising 2θ:
index, 2θ (°), intensity
1 2 -1, 25.06, 100
1 1 -2, 25.19, 61
1 1 2, 26.31, 88
0 1 3, 29.03, 39
2 0 0, 31.59, 35
2 2 -2, 40.26, 37
1 4 1, 40.37, 55
0 2 4, 41.34, 32